(1)
Calculated X-ray diffraction stick pattern of ScH3C3O6 for a wavelength of 1.5418 Å, from a cell relaxed with PBE.

Principal peaks in the range 2θ = 5–70°, by angle:
2θ (°)  d_spacing  Rel. int.
16.98  5.220  52
17.75  4.997  100
19.05  4.658  41
19.51  4.550  20
26.03  3.423  19
28.84  3.095  23
29.00  3.079  27
32.34  2.768  27

Atomic structure:
a b c (Å): 10.5495 6.7708 9.1939
angles (deg): 90.00 98.23 90.00
Fractional coordinates of all 52 atoms:
Sc 0.0000 0.0000 0.0000
Sc 0.0000 0.5000 0.5000
Sc 0.5000 0.0000 0.5000
Sc 0.5000 0.5000 0.0000
H 0.1280 0.0372 0.3688
H 0.1280 0.4628 0.8688
H 0.2619 0.6546 0.2062
H 0.2619 0.8454 0.7062
H 0.3238 0.2036 0.2078
H 0.3238 0.2964 0.7078
H 0.6762 0.7036 0.2922
H 0.6762 0.7964 0.7922
H 0.7381 0.1546 0.2938
H 0.7381 0.3454 0.7938
H 0.8720 0.5372 0.1312
H 0.8720 0.9628 0.6312
C 0.0665 0.5940 0.8443
C 0.0665 0.9060 0.3443
C 0.2871 0.1998 0.0889
C 0.2871 0.3002 0.5889
C 0.3595 0.7084 0.2482
C 0.3595 0.7916 0.7482
C 0.6405 0.2084 0.2518
C 0.6405 0.2916 0.7518
C 0.7129 0.6998 0.4111
C 0.7129 0.8002 0.9111
C 0.9335 0.0940 0.6557
C 0.9335 0.4060 0.1557
O 0.0027 0.6115 0.7173
O 0.0027 0.8885 0.2173
O 0.0648 0.7181 0.9476
O 0.0648 0.7819 0.4476
O 0.1900 0.0942 0.0469
O 0.1900 0.4058 0.5469
O 0.3457 0.1999 0.5026
O 0.3457 0.3001 0.0026
O 0.3710 0.6789 0.8590
O 0.3710 0.8211 0.3590
O 0.4513 0.6544 0.1822
O 0.4513 0.8456 0.6822
O 0.5487 0.1544 0.3178
O 0.5487 0.3456 0.8178
O 0.6290 0.1789 0.6410
O 0.6290 0.3211 0.1410
O 0.6543 0.6999 0.9974
O 0.6543 0.8001 0.4974
O 0.8100 0.5942 0.4531
O 0.8100 0.9058 0.9531
O 0.9352 0.2181 0.5524
O 0.9352 0.2819 0.0524
O 0.9973 0.1115 0.7827
O 0.9973 0.3885 0.2827

=====

(2)
Calculated X-ray diffraction stick pattern of Ti5ZnO7 for a wavelength of 1.5418 Å, from a cell relaxed with PBE.

Principal peaks in the range 2θ = 5–70°, by angle:
2θ (°)  d_spacing  Rel. int.
30.90  2.894  28
34.95  2.567  47
35.20  2.550  88
42.26  2.138  100
43.82  2.066  71
56.49  1.629  29
60.05  1.541  27
62.26  1.491  46

Atomic structure:
a b c (Å): 5.1411 5.1411 17.8859
angles (deg): 90.00 90.00 146.41
Fractional coordinates of all 26 atoms:
Ti 0.0000 0.0000 0.0000
Ti 0.0000 0.0000 0.5000
Ti 0.2912 0.7088 0.5709
Ti 0.2912 0.7088 0.9291
Ti 0.4622 0.5378 0.1492
Ti 0.4622 0.5378 0.3508
Ti 0.5378 0.4622 0.6492
Ti 0.5378 0.4622 0.8508
Ti 0.7088 0.2912 0.0709
Ti 0.7088 0.2912 0.4291
Zn 0.2096 0.7904 0.2500
Zn 0.7904 0.2096 0.7500
O 0.0899 0.9101 0.1142
O 0.0899 0.9101 0.3858
O 0.1820 0.8180 0.6726
O 0.1820 0.8180 0.8274
O 0.3572 0.6428 0.0441
O 0.3572 0.6428 0.4559
O 0.4453 0.5547 0.7500
O 0.5547 0.4453 0.2500
O 0.6428 0.3572 0.5441
O 0.6428 0.3572 0.9559
O 0.8180 0.1820 0.1726
O 0.8180 0.1820 0.3274
O 0.9101 0.0899 0.6142
O 0.9101 0.0899 0.8858

=====

(3)
Calculated X-ray diffraction stick pattern of BaNaP for a wavelength of 1.5418 Å, from a cell relaxed with PBE.

Principal peaks in the range 2θ = 5–70°, by angle:
2θ (°)  d_spacing  Rel. int.
18.88  4.700  33
22.21  4.003  42
25.70  3.467  29
29.31  3.047  100
32.08  2.790  72
34.22  2.621  31
47.27  1.923  25
51.34  1.780  39

Atomic structure:
a b c (Å): 8.0062 8.0062 4.6998
angles (deg): 90.00 90.00 120.00
Fractional coordinates of all 9 atoms:
Ba 0.0000 0.4116 0.0000
Ba 0.4116 0.0000 0.0000
Ba 0.5884 0.5884 0.0000
Na 0.0000 0.7579 0.5000
Na 0.2421 0.2421 0.5000
Na 0.7579 0.0000 0.5000
P 0.0000 0.0000 0.0000
P 0.3333 0.6667 0.5000
P 0.6667 0.3333 0.5000

=====

(4)
Calculated X-ray diffraction stick pattern of YSbPb2O6 for a wavelength of 1.5418 Å, from a cell relaxed with PBE.

Principal peaks in the range 2θ = 5–70°, by angle:
2θ (°)  d_spacing  Rel. int.
29.75  3.003  47
29.99  2.980  100
30.24  2.956  49
30.38  2.942  99
42.94  2.106  53
43.49  2.081  24
53.45  1.714  21
53.84  1.703  43

Atomic structure:
a b c (Å): 5.8850 5.8850 6.0063
angles (deg): 119.84 119.84 60.30
Fractional coordinates of all 10 atoms:
Y 0.0000 0.0000 0.0000
Sb 0.5000 0.5000 0.5000
Pb 0.2460 0.2460 0.7272
Pb 0.7540 0.7540 0.2728
O 0.2134 0.6940 0.6851
O 0.2661 0.2661 0.1911
O 0.3060 0.7866 0.3149
O 0.6940 0.2134 0.6851
O 0.7339 0.7339 0.8089
O 0.7866 0.3060 0.3149